[1]
Theoretical X-ray powder pattern of Ag3Te32Au13 for a wavelength of 1.5418 Å, from the GGA-PBE geometry in the Materials Project.
Kinematic intensities with the Lorentz-polarization factor, no thermal factor.

Most intense lines, 10° ≤ 2θ ≤ 90°, most intense first:
| 2θ/deg | I/Imax | h k l |
| --- | --- | --- |
| 28.87 | 100 | 8 2 0 |
| 41.73 | 57 | 8 2 3 |
| 29.48 | 40 | 0 0 3 |
| 42.65 | 20 | 16 0 0 |
| 39.87 | 15 | 0 4 0 |
| 50.36 | 12 | 0 4 3 |
| 77.45 | 10 | 24 2 3 |
| 22.58 | 9 | 2 2 1 |
| 59.80 | 9 | 16 4 0 |
| 69.70 | 8 | 24 2 0 |

Structure:
abc: 33.921 9.044 9.089
angles: 90.00 90.07 90.00
Space group C2 (No. 5)
Symmetry-distinct sites (fractional):
Ag 0.000 0.000 0.000 x2
Ag 0.125 0.498 0.317 x4
Te 0.003 0.454 0.702 x4
Te 0.003 0.952 0.698 x4
Te 0.060 0.728 0.961 x4
Te 0.061 0.233 0.961 x4
Te 0.063 0.265 0.368 x4
Te 0.064 0.769 0.369 x4
Te 0.125 0.023 0.019 x4
Te 0.125 0.063 0.613 x4
Te 0.125 0.525 0.011 x4
Te 0.125 0.567 0.614 x4
Te 0.186 0.769 0.369 x4
Te 0.187 0.265 0.368 x4
Te 0.189 0.232 0.962 x4
Te 0.190 0.731 0.962 x4
Te 0.247 0.454 0.702 x4
Te 0.248 0.955 0.702 x4
Au 0.000 0.492 0.000 x2
Au 0.063 0.253 0.665 x4
Au 0.063 0.753 0.666 x4
Au 0.125 0.008 0.318 x4
Au 0.187 0.253 0.666 x4
Au 0.187 0.754 0.667 x4
Au 0.250 0.493 0.000 x4

=====

[2]
Theoretical X-ray powder pattern of Tm2AgAu for a wavelength of 1.5418 Å, from the GGA-PBE geometry in the Materials Project.
Kinematic intensities with the Lorentz-polarization factor, no thermal factor.

Most intense lines, 10° ≤ 2θ ≤ 90°, most intense first:
| 2θ/deg | I/Imax | h k l |
| --- | --- | --- |
| 35.63 | 100 | 2 2 0 |
| 64.00 | 36 | 4 2 2 |
| 51.28 | 18 | 4 0 0 |
| 86.34 | 17 | 6 2 0 |
| 75.46 | 11 | 4 4 0 |
| 21.60 | 4 | 1 1 1 |
| 42.05 | 2 | 3 1 1 |
| 56.26 | 1 | 3 3 1 |
| 79.58 | 1 | 5 3 1 |
| 68.40 | 1 | 5 1 1 |

Structure:
abc: 7.127 7.127 7.127
angles: 90.00 90.00 90.00
Space group Fm-3m (No. 225)
Symmetry-distinct sites (fractional):
Tm 0.250 0.250 0.250 x8
Ag 0.000 0.000 0.000 x4
Au 0.000 0.000 0.500 x4

=====

[3]
Theoretical X-ray powder pattern of Y2AgAu for a wavelength of 1.5418 Å, from the GGA-PBE geometry in the Materials Project.
Kinematic intensities with the Lorentz-polarization factor, no thermal factor.

Most intense lines, 10° ≤ 2θ ≤ 90°, most intense first:
| 2θ/deg | I/Imax | h k l |
| --- | --- | --- |
| 35.00 | 100 | 2 2 0 |
| 62.77 | 36 | 4 2 2 |
| 50.33 | 18 | 4 0 0 |
| 84.50 | 16 | 6 2 0 |
| 73.94 | 11 | 4 4 0 |
| 24.55 | 8 | 2 0 0 |
| 21.22 | 6 | 1 1 1 |
| 41.29 | 4 | 3 1 1 |
| 56.77 | 4 | 4 2 0 |
| 43.22 | 3 | 2 2 2 |

Structure:
abc: 7.252 7.252 7.252
angles: 90.00 90.00 90.00
Space group Fm-3m (No. 225)
Symmetry-distinct sites (fractional):
Y 0.250 0.250 0.250 x8
Ag 0.000 0.000 0.000 x4
Au 0.000 0.000 0.500 x4